# 1
Starting from a crystal structure in the Materials Project, relaxed with PBE, the powder XRD pattern of AlMo12S24 was calculated for Cu Kα, 1.54184 Å.

Most intense lines, 2θ = 10–90°, in order of rising 2θ:
hkl	2θ/deg	I (rel.)
0 0 3	15.84	100
1 1 3	30.57	33
2 0 1	30.66	11
2 0 4	37.11	75
1 2 1	40.66	14
1 2 4	45.93	17
0 3 3	48.87	25
0 2 8	53.36	22
2 2 0	53.61	22
0 4 4	67.00	9

Cell and atoms:
```
data_AlMo12S24
_chemical_formula_sum 'Al1 Mo12 S24'
_cell_length_a 6.8380
_cell_length_b 6.8380
_cell_length_c 16.8590
_cell_angle_alpha 90.00
_cell_angle_beta 90.00
_cell_angle_gamma 120.00
_symmetry_space_group_name_H-M 'P 3 m 1'
_symmetry_Int_Tables_number 156
_symmetry_space_group_name_Hall 'P 3 -2"'
loop_
_atom_site_label
_atom_site_type_symbol
_atom_site_fract_x
_atom_site_fract_y
_atom_site_fract_z
Al1 Al 0.0000 0.0000 0.0000
Mo1 Mo 0.0000 0.0000 0.3921
Mo2 Mo 0.0504 0.5252 0.8626
Mo3 Mo 0.1442 0.2884 0.5364
Mo4 Mo 0.3333 0.6667 0.7244
Mo5 Mo 0.3846 0.1923 0.2058
Mo6 Mo 0.6667 0.3333 0.0640
S1 S 0.0000 0.0000 0.1340
S2 S 0.0000 0.0000 0.6346
S3 S 0.0190 0.5095 0.1253
S4 S 0.0234 0.5117 0.6205
S5 S 0.1519 0.3038 0.7843
S6 S 0.1536 0.3072 0.2874
S7 S 0.3333 0.6667 0.4666
S8 S 0.3333 0.6667 0.9612
S9 S 0.3572 0.1786 0.4555
S10 S 0.3578 0.1789 0.9542
S11 S 0.6667 0.3333 0.3053
S12 S 0.6667 0.3333 0.8020
```



# 2
Starting from a crystal structure in the Materials Project, relaxed with PBE, the powder XRD pattern of Mg6BiB was calculated for Cu Kα, 1.54184 Å.

Most intense lines, 2θ = 10–90°, in order of rising 2θ:
hkl	2θ/deg	I (rel.)
0 1 1	13.28	100
0 0 2	17.32	23
0 2 0	20.22	24
1 1 1	26.56	68
0 2 2	26.75	22
0 1 3	28.05	19
0 3 1	31.79	29
0 0 4	35.06	21
1 2 2	35.49	75
1 1 3	36.51	37

Cell and atoms:
```
data_Mg6BiB
_chemical_formula_sum 'Mg12 Bi2 B2'
_cell_length_a 3.885
_cell_length_b 8.782
_cell_length_c 10.239
_cell_angle_alpha 90.00
_cell_angle_beta 90.00
_cell_angle_gamma 90.00
_symmetry_space_group_name_H-M 'A m m 2'
_symmetry_Int_Tables_number 38
_symmetry_space_group_name_Hall 'A 2 -2'
loop_
_atom_site_label
_atom_site_type_symbol
_atom_site_fract_x
_atom_site_fract_y
_atom_site_fract_z
Mg1 Mg 0.000 0.000 0.000
Mg2 Mg 0.000 0.000 0.483
Mg3 Mg 0.000 0.167 0.732
Mg4 Mg 0.500 0.241 0.495
Bi1 Bi 0.500 0.000 0.235
B1 B 0.500 0.000 0.625
```